Calculated powder diffraction line list of NdNiAs2O8 for a wavelength of 1.5418 Å, from a PBE+U-relaxed structure.
Peak positions follow from Bragg's law for the DFT cell and can differ from measured ones.

```
NdNiAs2O8
1.0
-3.598 3.598 3.116
3.598 -3.598 3.116
3.598 3.598 -3.116
Nd Ni As O
1 1 2 8
Direct
0.000 0.000 0.000 Nd
0.250 0.750 0.500 Ni
0.500 0.500 0.000 As
0.750 0.250 0.500 As
0.325 0.138 0.813 O
0.325 0.512 0.187 O
0.387 0.059 0.328 O
0.488 0.675 0.813 O
0.730 0.059 0.672 O
0.862 0.675 0.187 O
0.941 0.270 0.328 O
0.941 0.613 0.672 O
```

Main lines, most intense first (2θ = 5–70°):
2theta	I/Imax
24.74	100
33.73	62
49.61	57
35.28	20
62.33	18
50.75	15
57.25	13
65.26	12
18.84	10
17.43	8